No. 1
# Lu3SiCN
Calculated XRD peak list, Cu Kα (weighted mean of Kα1 and Kα2). Input: a structure optimized by DFT (GGA-PBE).

Atomic structure:
Cell lengths 3.410, 3.410, 19.920 Å; angles 90.00, 90.00, 120.00 degrees
Sites, in units of the cell vectors:
Lu (0.000, 0.000, 0.000)
Lu (0.000, 0.000, 0.500)
Lu (0.333, 0.667, 0.133)
Lu (0.333, 0.667, 0.361)
Lu (0.667, 0.333, 0.639)
Lu (0.667, 0.333, 0.867)
Si (0.000, 0.000, 0.244)
Si (0.000, 0.000, 0.756)
C (0.333, 0.667, 0.576)
C (0.667, 0.333, 0.424)
N (0.333, 0.667, 0.930)
N (0.667, 0.333, 0.070)

Principal peaks in the range 2θ = 10–90°, sorted by position:
(1 0 1), 2θ 30.60, I = 50
(0 1 2), 2θ 31.60, I = 25
(0 1 4), 2θ 35.33, I = 100
(0 0 8), 2θ 36.07, I = 25
(1 0 5), 2θ 37.92, I = 50
(1 0 9), 2θ 51.60, I = 24
(1 1 0), 2θ 53.76, I = 36
(1 1 8), 2θ 66.45, I = 26

***

No. 2
# Lu4Sn2CN
Calculated XRD peak list, Cu Kα (weighted mean of Kα1 and Kα2). Input: a structure optimized by DFT (GGA-PBE).

Atomic structure:
Cell lengths 3.489, 3.489, 15.134 Å; angles 90.00, 90.00, 120.00 degrees
Sites, in units of the cell vectors:
Lu (0.333, 0.667, 0.085)
Lu (0.333, 0.667, 0.416)
Lu (0.667, 0.333, 0.584)
Lu (0.667, 0.333, 0.915)
Sn (0.333, 0.667, 0.747)
Sn (0.667, 0.333, 0.253)
C (0.000, 0.000, 0.000)
N (0.000, 0.000, 0.500)

Principal peaks in the range 2θ = 10–90°, sorted by position:
(1 0 0), 2θ 29.56, I = 23
(1 0 3), 2θ 34.60, I = 100
(0 0 6), 2θ 35.59, I = 19
(0 1 6), 2θ 46.92, I = 16
(1 1 0), 2θ 52.45, I = 22
(1 0 9), 2θ 63.29, I = 18
(0 2 3), 2θ 64.37, I = 17
(1 1 6), 2θ 65.00, I = 21

***

No. 3
# Lu3TlCN
Calculated XRD peak list, Cu Kα (weighted mean of Kα1 and Kα2). Input: a structure optimized by DFT (GGA-PBE).

Atomic structure:
Cell lengths 3.449, 3.449, 21.446 Å; angles 90.00, 90.00, 120.00 degrees
Sites, in units of the cell vectors:
Lu (0.000, 0.000, 0.000)
Lu (0.000, 0.000, 0.500)
Lu (0.333, 0.667, 0.123)
Lu (0.333, 0.667, 0.373)
Lu (0.667, 0.333, 0.627)
Lu (0.667, 0.333, 0.877)
Tl (0.000, 0.000, 0.245)
Tl (0.000, 0.000, 0.755)
C (0.333, 0.667, 0.571)
C (0.667, 0.333, 0.429)
N (0.333, 0.667, 0.935)
N (0.667, 0.333, 0.065)

Principal peaks in the range 2θ = 10–90°, sorted by position:
(0 1 1), 2θ 30.21, I = 19
(0 0 8), 2θ 33.43, I = 28
(0 1 4), 2θ 34.37, I = 100
(1 0 5), 2θ 36.66, I = 15
(1 1 0), 2θ 53.11, I = 27
(0 1 12), 2θ 60.36, I = 19
(1 1 8), 2θ 64.22, I = 27
(2 0 4), 2θ 64.81, I = 16

***

No. 4
# LuNb3Sn2C2
Calculated XRD peak list, Cu Kα (weighted mean of Kα1 and Kα2). Input: a structure optimized by DFT (GGA-PBE).

Atomic structure:
Cell lengths 3.299, 3.299, 14.350 Å; angles 90.00, 90.00, 120.00 degrees
Sites, in units of the cell vectors:
Lu (0.000, 0.000, 0.000)
Nb (0.000, 0.000, 0.658)
Nb (0.667, 0.333, 0.178)
Nb (0.667, 0.333, 0.499)
Sn (0.000, 0.000, 0.339)
Sn (0.667, 0.333, 0.820)
C (0.333, 0.667, 0.096)
C (0.333, 0.667, 0.579)

Principal peaks in the range 2θ = 10–90°, sorted by position:
(1 0 0), 2θ 31.31, I = 24
(1 0 3), 2θ 36.64, I = 100
(0 0 6), 2θ 37.61, I = 18
(0 1 6), 2θ 49.71, I = 15
(1 1 0), 2θ 55.72, I = 21
(1 0 9), 2θ 67.24, I = 14
(0 2 3), 2θ 68.55, I = 16
(1 1 6), 2θ 69.18, I = 19